# 1
Diffraction record for TaCo2. The powder diffractogram is computed, not measured: it uses a crystal structure in Alexandria, relaxed with GGA-PBE and Cu Kα.
No peak broadening, texture or thermal motion is included.

Structural model:
Unit cell a=11.8127 b=11.8127 c=11.8127 alpha=162.25 beta=162.25 gamma=25.20
Sites, in units of the cell vectors:
Ta 0.2991 0.5491 0.7500
Ta 0.4509 0.7009 0.7500
Ta 0.5491 0.2991 0.2500
Ta 0.7009 0.4509 0.2500
Co 0.0438 0.7938 0.2500
Co 0.1257 0.3757 0.7500
Co 0.2062 0.9562 0.2500
Co 0.3757 0.1257 0.2500
Co 0.6243 0.8743 0.7500
Co 0.7938 0.0438 0.7500
Co 0.8743 0.6243 0.2500
Co 0.9562 0.2062 0.7500

Peak list (10 most intense, 10° ≤ 2θ ≤ 90°, low angle first)
2θ (°)  intensity
24.73  25
35.70  10
36.78  12
42.22  100
47.31  15
50.05  32
71.33  17
73.49  10
84.46  10
88.58  23


# 2
Diffraction record for La6TbSm4. The powder diffractogram is computed, not measured: it uses a crystal structure in Alexandria, relaxed with GGA-PBE and Cu Kα.
No peak broadening, texture or thermal motion is included.

Structural model:
Unit cell a=5.7813 b=5.7813 c=26.2961 alpha=90.00 beta=90.00 gamma=117.33
Sites, in units of the cell vectors:
La 0.0000 0.0000 0.0000
La 0.0000 0.0000 0.5000
La 0.0603 0.9397 0.7500
La 0.2940 0.7060 0.1023
La 0.2940 0.7060 0.3977
La 0.3848 0.6152 0.6830
La 0.3848 0.6152 0.8170
La 0.6152 0.3848 0.1830
La 0.6152 0.3848 0.3170
La 0.7060 0.2940 0.6023
La 0.7060 0.2940 0.8977
La 0.9397 0.0603 0.2500
Tb 0.2812 0.7188 0.2500
Tb 0.7188 0.2812 0.7500
Sm 0.0525 0.9475 0.6243
Sm 0.0525 0.9475 0.8757
Sm 0.3521 0.6479 0.5447
Sm 0.3521 0.6479 0.9553
Sm 0.6479 0.3521 0.0447
Sm 0.6479 0.3521 0.4553
Sm 0.9475 0.0525 0.1243
Sm 0.9475 0.0525 0.3757

Peak list (10 most intense, 10° ≤ 2θ ≤ 90°, low angle first)
2θ (°)  intensity
27.18  23
29.46  78
29.72  100
29.88  73
30.97  85
31.16  86
32.34  82
42.65  55
53.65  19
54.42  19


# 3
Diffraction record for Be2TlF5. The powder diffractogram is computed, not measured: it uses a crystal structure in Alexandria, relaxed with GGA-PBE and Cu Kα.
No peak broadening, texture or thermal motion is included.

Structural model:
Unit cell a=4.7149 b=4.7149 c=12.7796 alpha=91.17 beta=91.17 gamma=59.92
Sites, in units of the cell vectors:
Be 0.1431 0.1924 0.2048
Be 0.1924 0.1431 0.7048
Be 0.8076 0.8569 0.2952
Be 0.8569 0.8076 0.7952
Tl 0.5000 0.5000 0.0000
Tl 0.5000 0.5000 0.5000
F 0.0783 0.9217 0.2500
F 0.1528 0.4619 0.7615
F 0.1653 0.1760 0.5867
F 0.1760 0.1653 0.0867
F 0.4619 0.1528 0.2615
F 0.5381 0.8472 0.7385
F 0.8240 0.8347 0.9133
F 0.8347 0.8240 0.4133
F 0.8472 0.5381 0.2385
F 0.9217 0.0783 0.7500

Peak list (10 most intense, 10° ≤ 2θ ≤ 90°, low angle first)
2θ (°)  intensity
13.86  71
21.78  100
25.61  54
25.77  50
26.05  99
27.93  41
35.91  37
38.20  47
40.52  32
41.09  30


# 4
Diffraction record for CrFe2Cl8. The powder diffractogram is computed, not measured: it uses a crystal structure in Alexandria, relaxed with GGA-PBE and Cu Kα.
No peak broadening, texture or thermal motion is included.

Structural model:
Unit cell a=7.6008 b=7.6008 c=5.9686 alpha=91.62 beta=91.62 gamma=71.28
Sites, in units of the cell vectors:
Cr 0.0000 0.0000 0.0000
Fe 0.1773 0.1773 0.6196
Fe 0.8227 0.8227 0.3804
Cl 0.1095 0.7311 0.2196
Cl 0.1614 0.1614 0.2384
Cl 0.2689 0.8905 0.7804
Cl 0.3465 0.3465 0.7106
Cl 0.6535 0.6535 0.2894
Cl 0.7311 0.1095 0.2196
Cl 0.8386 0.8386 0.7616
Cl 0.8905 0.2689 0.7804

Peak list (10 most intense, 10° ≤ 2θ ≤ 90°, low angle first)
2θ (°)  intensity
12.30  100
19.52  26
20.05  32
21.07  20
24.74  15
28.68  51
38.82  15
40.23  13
43.57  18
48.80  17


# 5
Diffraction record for Fe3Co2Ni8. The powder diffractogram is computed, not measured: it uses a crystal structure in Alexandria, relaxed with GGA-PBE and Cu Kα.
No peak broadening, texture or thermal motion is included.

Structural model:
Unit cell a=9.1767 b=9.1767 c=9.1767 alpha=28.68 beta=28.68 gamma=28.68
Sites, in units of the cell vectors:
Fe 0.0000 0.0000 0.0000
Fe 0.1843 0.1843 0.1843
Fe 0.8157 0.8157 0.8157
Co 0.3602 0.3602 0.3602
Co 0.6398 0.6398 0.6398
Ni 0.2287 0.7316 0.7316
Ni 0.2684 0.2684 0.7713
Ni 0.2684 0.7713 0.2684
Ni 0.2750 0.2750 0.2750
Ni 0.7250 0.7250 0.7250
Ni 0.7316 0.2287 0.7316
Ni 0.7316 0.7316 0.2287
Ni 0.7713 0.2684 0.2684

Peak list (10 most intense, 10° ≤ 2θ ≤ 90°, low angle first)
2θ (°)  intensity
39.65  41
44.22  100
44.89  35
46.65  84
48.24  37
49.41  26
50.61  24
50.83  25
75.13  36
85.42  28


# 6
Diffraction record for SmTm6Tl6. The powder diffractogram is computed, not measured: it uses a crystal structure in Alexandria, relaxed with GGA-PBE and Cu Kα.
No peak broadening, texture or thermal motion is included.

Structural model:
Unit cell a=6.3777 b=6.3777 c=10.4408 alpha=90.00 beta=90.00 gamma=120.00
Sites, in units of the cell vectors:
Sm 0.0000 0.0000 0.0000
Tm 0.0000 0.0000 0.3394
Tm 0.0000 0.0000 0.6606
Tm 0.3333 0.6667 0.0000
Tm 0.3333 0.6667 0.5000
Tm 0.6667 0.3333 0.0000
Tm 0.6667 0.3333 0.5000
Tl 0.0000 0.5000 0.2458
Tl 0.0000 0.5000 0.7542
Tl 0.5000 0.0000 0.2458
Tl 0.5000 0.0000 0.7542
Tl 0.5000 0.5000 0.2458
Tl 0.5000 0.5000 0.7542

Peak list (10 most intense, 10° ≤ 2θ ≤ 90°, low angle first)
2θ (°)  intensity
27.98  25
30.36  19
32.42  54
32.91  67
34.36  28
36.82  100
38.13  25
57.83  33
60.62  24
69.02  23